Rb2Zr3PbS8: simulated powder diffractogram (a wavelength of 1.5418 Å), based on a DFT-relaxed cell (PBE, Alexandria).
Lines closer than 0.1° are merged.

Main lines, low angle first (2θ = 15–90°):
2theta, d/Å, I/Imax
19.73, 4.500, 63
22.56, 3.941, 72
23.22, 3.831, 38
25.69, 3.468, 100
27.12, 3.288, 42
30.65, 2.917, 28
37.35, 2.407, 41
38.80, 2.321, 21
40.08, 2.250, 48
40.40, 2.232, 39
42.34, 2.135, 27
47.46, 1.916, 54

Crystal structure
```
Rb2Zr3PbS8
1.0
3.831 2.212 8.163
-3.831 2.212 8.163
0.000 -4.424 8.163
Rb Zr Pb S
2 3 1 8
Cartesian
0.000 0.000 0.000 Rb
0.000 0.000 8.604 Rb
0.000 -2.253 12.865 Zr
-1.951 1.127 12.865 Zr
1.951 1.127 12.865 Zr
0.000 0.000 18.351 Pb
0.000 -2.110 6.000 S
-1.827 1.055 6.000 S
0.000 0.000 3.211 S
-1.737 -1.003 11.299 S
1.827 1.055 6.000 S
0.000 0.000 14.232 S
1.737 -1.003 11.299 S
0.000 2.006 11.299 S
```

AlGeP: simulated powder diffractogram (a wavelength of 1.5418 Å), based on a DFT-relaxed cell (PBE, Alexandria).
Lines closer than 0.1° are merged.

Main lines, low angle first (2θ = 15–90°):
2theta, d/Å, I/Imax
17.55, 5.055, 15
27.61, 3.231, 100
31.53, 2.838, 9
40.25, 2.241, 9
45.81, 1.981, 24
45.89, 1.977, 47
54.33, 1.689, 28
54.47, 1.685, 14
66.79, 1.401, 7
73.84, 1.283, 14
84.78, 1.144, 8
84.92, 1.142, 12

Crystal structure
```
AlGeP
1.0
-1.979 5.947 2.792
1.979 -5.947 2.792
1.979 5.947 -2.792
Al Ge P
2 2 2
Cartesian
0.000 2.039 0.000 Al
0.000 9.854 0.000 Al
1.979 0.000 2.713 Ge
0.000 0.000 4.156 Ge
1.979 -1.979 1.373 P
1.979 1.979 1.373 P
```

Rb3Np2SnTe6: simulated powder diffractogram (a wavelength of 1.5418 Å), based on a DFT-relaxed cell (PBE, Alexandria).
Lines closer than 0.1° are merged.

Main lines, low angle first (2θ = 15–90°):
2theta, d/Å, I/Imax
26.27, 3.393, 100
33.34, 2.687, 17
36.14, 2.485, 33
38.79, 2.322, 39
40.29, 2.238, 9
45.45, 1.996, 10
47.45, 1.916, 20
54.05, 1.697, 10
59.21, 1.560, 10
62.89, 1.478, 11
68.50, 1.370, 10
89.16, 1.098, 7

Crystal structure
```
Rb3Np2SnTe6
1.0
4.022 -6.964 0.000
4.022 6.964 0.000
-2.676 0.000 8.429
Rb Np Sn Te
3 2 1 6
Cartesian
0.000 0.000 0.000 Rb
4.022 2.256 0.000 Rb
4.022 -2.256 0.000 Rb
2.684 4.636 4.215 Np
2.684 -4.636 4.215 Np
2.684 0.000 4.215 Sn
1.296 2.397 2.541 Te
-0.085 0.000 5.874 Te
1.296 -2.397 2.541 Te
4.071 2.397 5.888 Te
5.452 0.000 2.555 Te
4.071 -2.397 5.888 Te
```

SmAs3PtRh2: simulated powder diffractogram (a wavelength of 1.5418 Å), based on a DFT-relaxed cell (PBE, Alexandria).
Lines closer than 0.1° are merged.

Main lines, low angle first (2θ = 15–90°):
2theta, d/Å, I/Imax
24.41, 3.646, 97
27.34, 3.262, 33
28.03, 3.183, 64
28.63, 3.118, 60
33.78, 2.653, 100
35.10, 2.557, 34
36.98, 2.431, 52
44.45, 2.038, 48
46.98, 1.934, 65
50.03, 1.823, 96
50.26, 1.815, 52
78.72, 1.216, 39

Crystal structure
```
SmAs3PtRh2
1.0
3.646 2.105 6.524
-3.646 2.105 6.524
0.000 -4.211 6.524
Sm As Pt Rh
2 6 2 4
Cartesian
0.000 0.000 4.649 Sm
0.000 0.000 14.922 Sm
0.000 -1.814 8.035 As
-1.571 0.907 8.035 As
-1.571 -0.907 11.536 As
1.571 0.907 8.035 As
1.571 -0.907 11.536 As
0.000 1.814 11.536 As
0.000 0.000 1.856 Pt
0.000 0.000 17.715 Pt
-1.823 -1.053 6.524 Rh
-1.823 1.053 13.047 Rh
0.000 2.105 6.524 Rh
0.000 0.000 9.785 Rh
```

Li3PdAu: simulated powder diffractogram (a wavelength of 1.5418 Å), based on a DFT-relaxed cell (PBE, Alexandria).
Lines closer than 0.1° are merged.

Main lines, low angle first (2θ = 15–90°):
2theta, d/Å, I/Imax
16.78, 5.282, 54
19.27, 4.606, 48
22.60, 3.934, 41
28.35, 3.148, 56
28.99, 3.080, 100
35.67, 2.517, 23
39.44, 2.285, 39
39.53, 2.280, 35
40.09, 2.249, 27
40.16, 2.245, 25
44.11, 2.053, 26
53.27, 1.720, 19

Crystal structure
```
Li3PdAu
1.0
4.106 0.000 0.000
0.009 5.370 0.000
2.041 1.256 6.862
Li Pd Au
6 2 2
Cartesian
1.019 1.864 3.354 Li
1.031 4.582 0.618 Li
3.080 3.570 4.996 Li
3.076 3.056 1.866 Li
5.125 2.044 6.244 Li
5.137 4.762 3.508 Li
1.028 1.905 0.688 Pd
5.128 4.720 6.175 Pd
3.078 6.248 4.837 Au
3.078 0.378 2.025 Au
```

VCoBr: simulated powder diffractogram (a wavelength of 1.5418 Å), based on a DFT-relaxed cell (PBE, Alexandria).
Lines closer than 0.1° are merged.

Main lines, low angle first (2θ = 15–90°):
2theta, d/Å, I/Imax
26.24, 3.396, 31
28.32, 3.151, 13
32.23, 2.777, 100
38.00, 2.368, 13
39.84, 2.263, 12
42.11, 2.146, 39
42.82, 2.112, 43
44.89, 2.019, 55
54.01, 1.698, 15
55.46, 1.657, 31
73.52, 1.288, 12
81.11, 1.186, 16

Crystal structure
```
VCoBr
1.0
4.641 0.000 0.000
0.000 10.187 0.000
0.000 0.000 4.732
V Co Br
4 4 4
Cartesian
0.000 1.693 1.183 V
0.000 8.494 3.549 V
2.321 1.693 3.549 V
2.321 8.494 1.183 V
1.160 0.000 0.197 Co
1.160 0.000 2.563 Co
3.481 0.000 2.169 Co
3.481 0.000 4.535 Co
0.000 3.217 3.549 Br
0.000 6.971 1.183 Br
2.321 3.217 1.183 Br
2.321 6.971 3.549 Br
```

LiCoW2: simulated powder diffractogram (a wavelength of 1.5418 Å), based on a DFT-relaxed cell (PBE, Alexandria).
Lines closer than 0.1° are merged.

Main lines, low angle first (2θ = 15–90°):
2theta, d/Å, I/Imax
30.76, 2.906, 15
36.92, 2.435, 35
41.19, 2.192, 100
41.42, 2.180, 24
41.65, 2.168, 24
42.98, 2.104, 11
47.59, 1.911, 15
59.12, 1.563, 9
60.19, 1.537, 20
75.39, 1.261, 16
75.70, 1.256, 17
89.41, 1.096, 11

Crystal structure
```
LiCoW2
1.0
1.563 -2.168 0.000
1.563 2.168 0.000
0.000 0.000 8.719
Li Co W
1 1 2
Cartesian
0.000 0.000 0.000 Li
1.563 0.000 2.066 Co
0.000 0.000 4.057 W
1.563 0.000 6.328 W
```

MgBe4Cu8: simulated powder diffractogram (a wavelength of 1.5418 Å), based on a DFT-relaxed cell (PBE, Alexandria).
Lines closer than 0.1° are merged.

Main lines, low angle first (2θ = 15–90°):
2theta, d/Å, I/Imax
15.62, 5.675, 22
22.15, 4.013, 16
22.39, 3.970, 21
31.53, 2.837, 65
39.02, 2.308, 44
39.45, 2.284, 59
45.20, 2.006, 26
45.32, 2.001, 100
51.00, 1.791, 55
51.35, 1.779, 42
75.67, 1.257, 19
83.54, 1.157, 25

Crystal structure
```
MgBe4Cu8
1.0
-4.013 4.013 2.284
4.013 -4.013 2.284
4.013 4.013 -2.284
Mg Be Cu
1 4 8
Cartesian
0.000 0.000 0.000 Mg
2.006 2.006 -1.142 Be
2.006 -2.006 1.142 Be
-2.006 2.006 1.142 Be
2.006 2.006 1.142 Be
2.777 0.000 0.000 Cu
5.248 0.000 0.000 Cu
4.013 2.257 0.000 Cu
0.000 2.777 0.000 Cu
2.257 4.013 0.000 Cu
1.755 0.000 2.284 Cu
0.000 5.248 0.000 Cu
0.000 1.755 2.284 Cu
```